Calculated PXRD pattern of Tb5PmNdHo2 for λ = 1.5418 Å (Cu Kα), from the PBE geometry in Alexandria.
Lines closer than 0.1° are merged.

Peak list (12 most intense, 2θ from 5° to 70°, sorted by position)
d 3.171, I 186; d 2.965, I 397; d 2.816, I 428; d 2.775, I 1000; d 2.733, I 87; d 2.656, I 116; d 2.106, I 119; d 1.932, I 92; d 1.790, I 114; d 1.618, I 217; d 1.551, I 146; d 1.511, I 131

Crystal structure
Cell: 10.356 10.356 10.626 Å, 90.00 90.00 148.44°
Positions (direct):
Tb 0.017 0.983 0.500
Tb 0.282 0.718 0.784
Tb 0.298 0.702 0.182
Tb 0.391 0.609 0.498
Tb 0.478 0.522 0.211
Tb 0.522 0.478 0.711
Tb 0.609 0.391 0.998
Tb 0.702 0.298 0.682
Tb 0.718 0.282 0.284
Tb 0.983 0.017 0.000
Pm 0.201 0.799 0.485
Pm 0.799 0.201 0.985
Nd 0.416 0.584 0.925
Nd 0.584 0.416 0.425
Ho 0.110 0.890 0.209
Ho 0.114 0.886 0.795
Ho 0.886 0.114 0.295
Ho 0.890 0.110 0.709